# 1
The following is a calculated XRD peak list of AcPuMn. It was derived from a PBE-relaxed structure, using CuKα.
Peak positions follow from Bragg's law for the DFT cell and can differ from measured ones.

Crystal structure
Cell lengths 9.766, 9.766, 9.766 Å; angles 116.06, 116.06, 116.06 degrees
Fractional positions:
Ac1 0.053 0.345 0.330
Ac2 0.330 0.053 0.345
Ac3 0.345 0.330 0.053
Ac4 0.655 0.670 0.947
Ac5 0.670 0.947 0.655
Ac6 0.947 0.655 0.670
Pu1 0.013 0.254 0.606
Pu2 0.254 0.606 0.013
Pu3 0.394 0.987 0.746
Pu4 0.606 0.013 0.254
Pu5 0.746 0.394 0.987
Pu6 0.987 0.746 0.394
Mn1 0.107 0.579 0.198
Mn2 0.198 0.107 0.579
Mn3 0.421 0.802 0.893
Mn4 0.579 0.198 0.107
Mn5 0.802 0.893 0.421
Mn6 0.893 0.421 0.802

Largest 8 diffraction maxima, in order of falling intensity, 5 to 70 degrees two-theta:
2θ/deg	d [Å]	I (rel.)
27.04	3.298	100
10.68	8.285	74
31.12	2.874	44
32.42	2.762	42
29.14	3.064	38
49.50	1.841	38
36.47	2.464	37
38.11	2.361	28

# 2
The following is a calculated XRD peak list of Ac2PuMnSe5. It was derived from a PBE-relaxed structure, using CuKα.
Peak positions follow from Bragg's law for the DFT cell and can differ from measured ones.

Crystal structure
Cell lengths 9.376, 9.376, 12.615 Å; angles 90.00, 90.00, 153.46 degrees
Fractional positions:
Ac1 0.114 0.886 0.500
Ac2 0.128 0.872 0.125
Ac3 0.872 0.128 0.625
Ac4 0.886 0.114 0.000
Pu1 0.203 0.797 0.825
Pu2 0.797 0.203 0.325
Mn1 0.445 0.555 0.264
Mn2 0.555 0.445 0.764
Se1 0.044 0.956 0.867
Se2 0.291 0.709 0.483
Se3 0.316 0.684 0.168
Se4 0.363 0.637 0.815
Se5 0.497 0.503 0.585
Se6 0.503 0.497 0.085
Se7 0.637 0.363 0.315
Se8 0.684 0.316 0.668
Se9 0.709 0.291 0.983
Se10 0.956 0.044 0.367

Largest 8 diffraction maxima, in order of falling intensity, 5 to 70 degrees two-theta:
2θ/deg	d [Å]	I (rel.)
30.11	2.968	100
35.24	2.547	57
30.22	2.957	42
23.29	3.819	30
41.97	2.153	26
43.02	2.103	21
52.59	1.740	18
44.19	2.049	16

# 3
The following is a calculated XRD peak list of AcMnRh4S8. It was derived from a PBE-relaxed structure, using CuKα.
Peak positions follow from Bragg's law for the DFT cell and can differ from measured ones.

Crystal structure
Cell lengths 7.027, 7.027, 7.027 Å; angles 63.91, 63.91, 63.91 degrees
Fractional positions:
Ac1 0.000 0.000 0.000
Mn1 0.531 0.531 0.531
Rh1 0.051 0.557 0.557
Rh2 0.184 0.184 0.184
Rh3 0.557 0.051 0.557
Rh4 0.557 0.557 0.051
S1 0.307 0.307 0.786
S2 0.307 0.786 0.307
S3 0.320 0.320 0.320
S4 0.381 0.761 0.761
S5 0.761 0.381 0.761
S6 0.761 0.761 0.381
S7 0.786 0.307 0.307
S8 0.795 0.795 0.795

Largest 8 diffraction maxima, in order of falling intensity, 5 to 70 degrees two-theta:
2θ/deg	d [Å]	I (rel.)
28.22	3.163	100
35.20	2.549	71
48.98	1.860	61
15.93	5.563	51
23.93	3.719	47
40.50	2.227	42
30.16	2.963	37
46.15	1.967	32

# 4
The following is a calculated XRD peak list of Ac2MnSe2S2. It was derived from a PBE-relaxed structure, using CuKα.
Peak positions follow from Bragg's law for the DFT cell and can differ from measured ones.

Crystal structure
Cell lengths 4.144, 6.541, 13.388 Å; angles 90.00, 90.00, 90.00 degrees
Fractional positions:
Ac1 0.000 0.000 0.152
Ac2 0.000 0.000 0.848
Ac3 0.500 0.500 0.348
Ac4 0.500 0.500 0.652
Mn1 0.000 0.500 0.000
Mn2 0.500 0.000 0.500
Se1 0.000 0.260 0.500
Se2 0.000 0.740 0.500
Se3 0.500 0.240 0.000
Se4 0.500 0.760 0.000
S1 0.000 0.500 0.194
S2 0.000 0.500 0.806
S3 0.500 0.000 0.306
S4 0.500 0.000 0.694

Largest 8 diffraction maxima, in order of falling intensity, 5 to 70 degrees two-theta:
2θ/deg	d [Å]	I (rel.)
29.41	3.037	100
35.61	2.521	85
24.14	3.687	79
37.17	2.419	55
15.07	5.877	44
25.45	3.500	38
27.27	3.271	29
38.48	2.339	27

# 5
The following is a calculated XRD peak list of AcTaMn2S8. It was derived from a PBE-relaxed structure, using CuKα.
Peak positions follow from Bragg's law for the DFT cell and can differ from measured ones.

Crystal structure
Cell lengths 7.250, 7.250, 7.250 Å; angles 105.20, 105.20, 118.40 degrees
Fractional positions:
Ac1 0.000 0.000 0.000
Ta1 0.750 0.250 0.500
Mn1 0.250 0.750 0.500
Mn2 0.500 0.500 0.000
S1 0.028 0.364 0.337
S2 0.028 0.691 0.663
S3 0.122 0.324 0.798
S4 0.309 0.972 0.337
S5 0.526 0.324 0.202
S6 0.636 0.972 0.663
S7 0.676 0.474 0.798
S8 0.676 0.878 0.202

Largest 8 diffraction maxima, in order of falling intensity, 5 to 70 degrees two-theta:
2θ/deg	d [Å]	I (rel.)
20.17	4.404	100
40.49	2.228	66
27.98	3.189	50
15.61	5.677	50
50.36	1.812	26
32.80	2.730	25
40.99	2.202	20
38.81	2.320	19

# 6
The following is a calculated XRD peak list of Ac3MnTl4S8. It was derived from a PBE-relaxed structure, using CuKα.
Peak positions follow from Bragg's law for the DFT cell and can differ from measured ones.

Crystal structure
Cell lengths 8.610, 8.610, 8.979 Å; angles 118.18, 118.18, 58.47 degrees
Fractional positions:
Ac1 0.000 0.000 0.000
Ac2 0.000 0.500 0.000
Ac3 0.500 0.000 0.000
Mn1 0.500 0.500 0.000
Tl1 0.000 0.000 0.500
Tl2 0.000 0.500 0.500
Tl3 0.500 0.000 0.500
Tl4 0.500 0.500 0.500
S1 0.234 0.234 0.215
S2 0.239 0.239 0.763
S3 0.283 0.694 0.180
S4 0.306 0.717 0.820
S5 0.694 0.283 0.180
S6 0.717 0.306 0.820
S7 0.761 0.761 0.237
S8 0.766 0.766 0.785

Largest 8 diffraction maxima, in order of falling intensity, 5 to 70 degrees two-theta:
2θ/deg	d [Å]	I (rel.)
29.13	3.066	100
25.44	3.501	74
28.25	3.159	57
23.57	3.775	47
40.03	2.252	41
25.13	3.544	38
41.99	2.152	38
49.07	1.857	22